Theoretical powder diffraction line list of Zr4TiCd10 for Cu Kα, 1.54184 Å, from DFT lattice parameters and positions (GGA-PBE).
Neutral-atom scattering factors, no anomalous dispersion.

Peak list (6 most intense, 2θ = 10–90°, in order of rising 2θ)
index	2θ (°)	Rel. int.
4 0 -1	28.6	14
4 2 -1	35.8	88
2 0 2	37.0	100
6 2 1	52.4	28
5 5 0	66.0	18
3 3 3	66.7	17

Structure:
```
data_Zr4TiCd10
_space_group_name_H-M_alt 'C 1 2/m 1'
_space_group_IT_number 12
_cell_length_a 13.4016
_cell_length_b 8.4061
_cell_length_c 5.7839
_cell_angle_alpha 90.00
_cell_angle_beta 101.56
_cell_angle_gamma 90.00
loop_
_space_group_symop_operation_xyz
'x,y,z'
'-x,-y,-z'
'-x,y,-z'
'x,-y,z'
'x+1/2,y+1/2,z'
'-x+1/2,-y+1/2,-z'
'-x+1/2,y+1/2,-z'
'x+1/2,-y+1/2,z'
loop_
_atom_site_label
_atom_site_type_symbol
_atom_site_fract_x
_atom_site_fract_y
_atom_site_fract_z
_atom_site_occupancy
Zr1 Zr 0.1009 0.0000 0.4040 1
Zr2 Zr 0.1995 0.5000 0.8049 1
Ti1 Ti 0.0000 0.5000 0.0000 1
Cd1 Cd 0.0000 0.3351 0.5000 1
Cd2 Cd 0.0991 0.1682 0.9006 1
Cd3 Cd 0.1985 0.3339 0.3001 1
```


Theoretical powder diffraction line list of BaCr5Se8 for Cu Kα, 1.54184 Å, from DFT lattice parameters and positions (GGA-PBE).
Neutral-atom scattering factors, no anomalous dispersion.

Peak list (6 most intense, 2θ = 10–90°, in order of rising 2θ)
index	2θ (°)	Rel. int.
3 1 1	31.1	100
6 0 -2	31.6	47
3 1 -2	32.5	64
3 1 -3	39.2	37
6 0 -4	45.1	37
9 1 -1	50.1	54

Structure:
```
data_BaCr5Se8
_space_group_name_H-M_alt 'C 1 m 1'
_space_group_IT_number 8
_cell_length_a 18.7045
_cell_length_b 3.7866
_cell_length_c 8.9095
_cell_angle_alpha 90.00
_cell_angle_beta 104.77
_cell_angle_gamma 90.00
loop_
_space_group_symop_operation_xyz
'x,y,z'
'x,-y,z'
'x+1/2,y+1/2,z'
'x+1/2,-y+1/2,z'
loop_
_atom_site_label
_atom_site_type_symbol
_atom_site_fract_x
_atom_site_fract_y
_atom_site_fract_z
_atom_site_occupancy
Ba1 Ba 0.0000 0.0000 0.0000 1
Cr1 Cr 0.9995 0.5000 0.4999 1
Cr2 Cr 0.1563 0.0000 0.4728 1
Cr3 Cr 0.2030 0.0000 0.8328 1
Cr4 Cr 0.2960 0.5000 0.1674 1
Cr5 Cr 0.3429 0.5000 0.5275 1
Se1 Se 0.0718 0.0000 0.6589 1
Se2 Se 0.0831 0.5000 0.3150 1
Se3 Se 0.1666 0.5000 0.9895 1
Se4 Se 0.2351 0.5000 0.6534 1
Se5 Se 0.2640 0.0000 0.3470 1
Se6 Se 0.3323 0.0000 0.0106 1
Se7 Se 0.4161 0.0000 0.6852 1
Se8 Se 0.4273 0.5000 0.3408 1
```


Theoretical powder diffraction line list of Ba3Mg2Cd for Cu Kα, 1.54184 Å, from DFT lattice parameters and positions (GGA-PBE).
Neutral-atom scattering factors, no anomalous dispersion.

Peak list (6 most intense, 2θ = 10–90°, in order of rising 2θ)
index	2θ (°)	Rel. int.
1 0 0	20.5	19
1 1 0	29.2	100
2 0 0	41.8	19
2 1 3	51.8	39
3 1 0	68.6	16
3 2 3	83.6	19

Structure:
```
data_Ba3Mg2Cd
_space_group_name_H-M_alt 'P 4/m m m'
_space_group_IT_number 123
_space_group_name_Hall '-P 4 2'
_cell_length_a 4.3265
_cell_length_b 4.3265
_cell_length_c 12.9752
_cell_angle_alpha 90.00
_cell_angle_beta 90.00
_cell_angle_gamma 90.00
loop_
_atom_site_label
_atom_site_type_symbol
_atom_site_fract_x
_atom_site_fract_y
_atom_site_fract_z
_atom_site_occupancy
Ba1 Ba 0.0000 0.0000 0.0000 1
Ba2 Ba 0.0000 0.0000 0.3401 1
Mg1 Mg 0.5000 0.5000 0.1686 1
Cd1 Cd 0.5000 0.5000 0.5000 1
```


Theoretical powder diffraction line list of Cs2LiTcH6 for Cu Kα, 1.54184 Å, from DFT lattice parameters and positions (GGA-PBE).
Neutral-atom scattering factors, no anomalous dispersion.

Peak list (6 most intense, 2θ = 10–90°, in order of rising 2θ)
index	2θ (°)	Rel. int.
0 1 1	23.8	100
1 1 0	28.3	70
2 0 1	37.3	32
1 0 2	38.8	24
1 2 1	47.5	30
2 1 2	57.3	16

Structure:
```
data_Cs2LiTcH6
_space_group_name_H-M_alt 'P -3 m 1'
_space_group_IT_number 164
_space_group_name_Hall '-P 3 2"'
_cell_length_a 6.3046
_cell_length_b 6.3046
_cell_length_c 5.1246
_cell_angle_alpha 90.00
_cell_angle_beta 90.00
_cell_angle_gamma 120.00
loop_
_atom_site_label
_atom_site_type_symbol
_atom_site_fract_x
_atom_site_fract_y
_atom_site_fract_z
_atom_site_occupancy
Cs1 Cs 0.3333 0.6667 0.2657 1
Li1 Li 0.0000 0.0000 0.5000 1
Tc1 Tc 0.0000 0.0000 0.0000 1
H1 H 0.1304 0.2607 0.7858 1
```


Theoretical powder diffraction line list of HfSiSb2Te for Cu Kα, 1.54184 Å, from DFT lattice parameters and positions (GGA-PBE).
Neutral-atom scattering factors, no anomalous dispersion.

Peak list (6 most intense, 2θ = 10–90°, in order of rising 2θ)
index	2θ (°)	Rel. int.
1 0 0	16.0	100
0 0 1	16.3	46
1 1 1	28.1	36
2 0 0	32.4	82
0 0 2	32.9	39
2 0 2	46.9	58

Structure:
```
data_HfSiSb2Te
_space_group_name_H-M_alt 'P 4/m m m'
_space_group_IT_number 123
_space_group_name_Hall '-P 4 2'
_cell_length_a 5.5286
_cell_length_b 5.5286
_cell_length_c 5.4400
_cell_angle_alpha 90.00
_cell_angle_beta 90.00
_cell_angle_gamma 90.00
loop_
_atom_site_label
_atom_site_type_symbol
_atom_site_fract_x
_atom_site_fract_y
_atom_site_fract_z
_atom_site_occupancy
Hf1 Hf 0.0000 0.0000 0.0000 1
Si1 Si 0.5000 0.5000 0.5000 1
Sb1 Sb 0.0000 0.5000 0.0000 1
Te1 Te 0.0000 0.0000 0.5000 1
```


Theoretical powder diffraction line list of Ce2Mg16Ag for Cu Kα, 1.54184 Å, from DFT lattice parameters and positions (GGA-PBE).
Neutral-atom scattering factors, no anomalous dispersion.

Peak list (6 most intense, 2θ = 10–90°, in order of rising 2θ)
index	2θ (°)	Rel. int.
1 1 0	17.4	53
1 1 3	24.8	41
3 0 0	30.3	45
0 2 4	31.1	18
2 2 0	35.2	100
2 0 5	35.9	35

Structure:
```
data_Ce2Mg16Ag
_space_group_name_H-M_alt 'R 3 m'
_space_group_IT_number 160
_space_group_name_Hall 'R 3 -2"'
_cell_length_a 10.2074
_cell_length_b 10.2074
_cell_length_c 15.1483
_cell_angle_alpha 90.00
_cell_angle_beta 90.00
_cell_angle_gamma 120.00
loop_
_atom_site_label
_atom_site_type_symbol
_atom_site_fract_x
_atom_site_fract_y
_atom_site_fract_z
_atom_site_occupancy
Ce1 Ce 0.0000 0.0000 0.0000 1
Ce2 Ce 0.0000 0.0000 0.3389 1
Mg1 Mg 0.0000 0.0000 0.7599 1
Mg2 Mg 0.9995 0.3003 0.6695 1
Mg3 Mg 0.0090 0.5045 0.8228 1
Mg4 Mg 0.0120 0.5060 0.1696 1
Mg5 Mg 0.1673 0.3346 0.8511 1
Ag1 Ag 0.0000 0.0000 0.5664 1
```


Theoretical powder diffraction line list of UPaSbMo for Cu Kα, 1.54184 Å, from DFT lattice parameters and positions (GGA-PBE).
Neutral-atom scattering factors, no anomalous dispersion.

Peak list (6 most intense, 2θ = 10–90°, in order of rising 2θ)
index	2θ (°)	Rel. int.
1 1 1	21.9	14
2 2 0	36.2	100
4 0 0	52.1	18
4 2 2	65.1	37
4 4 0	76.9	12
6 2 0	88.0	17

Structure:
```
data_UPaSbMo
_space_group_name_H-M_alt 'F -4 3 m'
_space_group_IT_number 216
_space_group_name_Hall 'F -4 2 3'
_cell_length_a 7.0166
_cell_length_b 7.0166
_cell_length_c 7.0166
_cell_angle_alpha 90.00
_cell_angle_beta 90.00
_cell_angle_gamma 90.00
loop_
_atom_site_label
_atom_site_type_symbol
_atom_site_fract_x
_atom_site_fract_y
_atom_site_fract_z
_atom_site_occupancy
U1 U 0.0000 0.0000 0.0000 1
Pa1 Pa 0.2500 0.2500 0.2500 1
Sb1 Sb 0.0000 0.0000 0.5000 1
Mo1 Mo 0.2500 0.2500 0.7500 1
```


Theoretical powder diffraction line list of CrRhSe2N for Cu Kα, 1.54184 Å, from DFT lattice parameters and positions (GGA-PBE).
Neutral-atom scattering factors, no anomalous dispersion.

Peak list (6 most intense, 2θ = 10–90°, in order of rising 2θ)
index	2θ (°)	Rel. int.
0 0 1	24.6	35
1 0 1	30.2	46
2 0 0	35.1	100
2 0 1	43.3	31
2 2 0	50.5	27
2 0 2	62.9	34

Structure:
```
data_CrRhSe2N
_space_group_name_H-M_alt 'P 4/m m m'
_space_group_IT_number 123
_space_group_name_Hall '-P 4 2'
_cell_length_a 5.1128
_cell_length_b 5.1128
_cell_length_c 3.6249
_cell_angle_alpha 90.00
_cell_angle_beta 90.00
_cell_angle_gamma 90.00
loop_
_atom_site_label
_atom_site_type_symbol
_atom_site_fract_x
_atom_site_fract_y
_atom_site_fract_z
_atom_site_occupancy
Cr1 Cr 0.0000 0.0000 0.0000 1
Rh1 Rh 0.5000 0.5000 0.5000 1
Se1 Se 0.0000 0.5000 0.5000 1
N1 N 0.5000 0.5000 0.0000 1
```


Theoretical powder diffraction line list of Li2Cu5Ge2Au3 for Cu Kα, 1.54184 Å, from DFT lattice parameters and positions (GGA-PBE).
Neutral-atom scattering factors, no anomalous dispersion.

Peak list (6 most intense, 2θ = 10–90°, in order of rising 2θ)
index	2θ (°)	Rel. int.
0 0 6	19.8	32
1 0 5	29.2	44
1 1 0	34.1	24
1 1 6	39.7	100
1 0 11	44.3	27
2 0 0	49.0	35

Structure:
```
data_Li2Cu5Ge2Au3
_space_group_name_H-M_alt 'I 4/m m m'
_space_group_IT_number 139
_space_group_name_Hall '-I 4 2'
_cell_length_a 3.7196
_cell_length_b 3.7196
_cell_length_c 26.9643
_cell_angle_alpha 90.00
_cell_angle_beta 90.00
_cell_angle_gamma 90.00
loop_
_atom_site_label
_atom_site_type_symbol
_atom_site_fract_x
_atom_site_fract_y
_atom_site_fract_z
_atom_site_occupancy
Li1 Li 0.0000 0.0000 0.2291 1
Cu1 Cu 0.0000 0.0000 0.0000 1
Cu2 Cu 0.0000 0.5000 0.0724 1
Ge1 Ge 0.0000 0.0000 0.1367 1
Au1 Au 0.0000 0.0000 0.3288 1
Au2 Au 0.0000 0.0000 0.5000 1
```


Theoretical powder diffraction line list of Ca3Zr2O7 for Cu Kα, 1.54184 Å, from DFT lattice parameters and positions (GGA-PBE).
Neutral-atom scattering factors, no anomalous dispersion.

Peak list (6 most intense, 2θ = 10–90°, in order of rising 2θ)
index	2θ (°)	Rel. int.
1 1 1	22.1	32
0 0 2	30.8	53
5 1 1	31.2	100
0 2 2	44.1	36
5 3 1	55.0	27
10 0 2	55.7	27

Structure:
```
data_Ca3Zr2O7
_space_group_name_H-M_alt 'C m c m'
_space_group_IT_number 63
_space_group_name_Hall '-C 2c 2'
_cell_length_a 20.0463
_cell_length_b 5.8006
_cell_length_c 5.8190
_cell_angle_alpha 90.00
_cell_angle_beta 90.00
_cell_angle_gamma 90.00
loop_
_atom_site_label
_atom_site_type_symbol
_atom_site_fract_x
_atom_site_fract_y
_atom_site_fract_z
_atom_site_occupancy
Ca1 Ca 0.0000 0.2194 0.2500 1
Ca2 Ca 0.1927 0.2454 0.2500 1
Zr1 Zr 0.1014 0.2551 0.7500 1
O1 O 0.0000 0.3740 0.7500 1
O2 O 0.0758 0.0000 0.0000 1
O3 O 0.1284 0.5000 0.0000 1
O4 O 0.2009 0.1440 0.7500 1
```


Theoretical powder diffraction line list of In3SnCl6 for Cu Kα, 1.54184 Å, from DFT lattice parameters and positions (GGA-PBE).
Neutral-atom scattering factors, no anomalous dispersion.

Peak list (6 most intense, 2θ = 10–90°, in order of rising 2θ)
index	2θ (°)	Rel. int.
2 0 2	19.8	50
3 -1 1	21.4	100
2 -1 3	22.8	55
1 2 2	24.0	47
4 -1 2	30.8	77
3 -1 4	32.2	72

Structure:
```
data_In3SnCl6
_space_group_name_H-M_alt 'R -3'
_space_group_IT_number 148
_space_group_name_Hall '-R 3'
_cell_length_a 13.2045
_cell_length_b 13.2045
_cell_length_c 14.5373
_cell_angle_alpha 90.00
_cell_angle_beta 90.00
_cell_angle_gamma 120.00
loop_
_atom_site_label
_atom_site_type_symbol
_atom_site_fract_x
_atom_site_fract_y
_atom_site_fract_z
_atom_site_occupancy
In1 In 0.0477 0.7631 0.2044 1
Sn1 Sn 0.0000 0.0000 0.0000 1
Sn2 Sn 0.0000 0.0000 0.5000 1
Cl1 Cl 0.0127 0.8519 0.9015 1
Cl2 Cl 0.0465 0.8433 0.3966 1
```


Theoretical powder diffraction line list of LaHo12Er6 for Cu Kα, 1.54184 Å, from DFT lattice parameters and positions (GGA-PBE).
Neutral-atom scattering factors, no anomalous dispersion.

Peak list (6 most intense, 2θ = 10–90°, in order of rising 2θ)
index	2θ (°)	Rel. int.
0 1 5	30.9	41
0 3 3	31.7	22
1 3 1	32.1	100
3 -1 4	33.1	70
4 -1 2	33.7	26
6 -5 5	58.8	19

Structure:
```
data_LaHo12Er6
_space_group_name_H-M_alt 'R -3'
_space_group_IT_number 148
_space_group_name_Hall '-R 3'
_cell_length_a 11.8191
_cell_length_b 11.8191
_cell_length_c 15.1101
_cell_angle_alpha 90.00
_cell_angle_beta 90.00
_cell_angle_gamma 120.00
loop_
_atom_site_label
_atom_site_type_symbol
_atom_site_fract_x
_atom_site_fract_y
_atom_site_fract_z
_atom_site_occupancy
La1 La 0.0000 0.0000 0.0000 1
Ho1 Ho 0.0195 0.8358 0.1919 1
Ho2 Ho 0.0393 0.8506 0.4158 1
Er1 Er 0.0073 0.4213 0.6782 1
```


What is the formula in the fifth record?
HfSiSb2Te